Diffraction record for Th2Ga7Pt12. The X-ray diffraction stick pattern is calculated, not measured: it uses a GGA-PBE-relaxed structure and a wavelength of 1.5418 Å.
Kinematic intensities with the Lorentz-polarization factor, no thermal factor.

Atomic structure:
Cell: 10.0934 10.0934 4.1271 Å, 90.00 90.00 120.00°
Space group P-6 (No. 174)
One atom of each set of equivalent atoms:
Th1 0.0000 0.0000 0.0000 (multiplicity 1)
Th2 0.3333 0.6667 0.5000 (multiplicity 1)
Ga1 0.0359 0.4653 0.0000 (multiplicity 3)
Ga2 0.2727 0.2603 0.5000 (multiplicity 3)
Ga3 0.6667 0.3333 0.0000 (multiplicity 1)
Pt1 0.0186 0.2507 0.5000 (multiplicity 3)
Pt2 0.1567 0.7548 0.0000 (multiplicity 3)
Pt3 0.3806 0.1973 0.0000 (multiplicity 3)
Pt4 0.5664 0.1332 0.5000 (multiplicity 3)

Largest 10 diffraction maxima, sorted by position, 5 to 70 degrees two-theta:
- 26.99°, d 3.304, I = 10, hkl 2 1 0
- 34.78°, d 2.579, I = 100, hkl 2 1 1
- 35.58°, d 2.523, I = 9, hkl 2 2 0
- 37.08°, d 2.424, I = 11, hkl 1 3 0
- 41.97°, d 2.153, I = 21, hkl 2 2 1
- 43.28°, d 2.090, I = 16, hkl 1 3 1
- 43.87°, d 2.064, I = 24, hkl 0 0 2
- 45.22°, d 2.005, I = 11, hkl 3 2 0
- 52.31°, d 1.749, I = 10, hkl 5 0 0
- 64.85°, d 1.438, I = 10, hkl 3 2 2